Theoretical powder diffractogram of RbMg14Sb for copper Kα, from DFT lattice parameters and positions (GGA-PBE).
Kinematic intensities with the Lorentz-polarization factor, no thermal factor.

Atomic structure:
```
data_RbMg14Sb
_chemical_formula_sum 'Rb1 Mg14 Sb1'
_cell_length_a 6.5261
_cell_length_b 6.5261
_cell_length_c 10.8715
_cell_angle_alpha 90.00
_cell_angle_beta 90.00
_cell_angle_gamma 120.00
_space_group_name_H-M_alt 'P 1'
_space_group_IT_number 1
loop_
_space_group_symop_operation_xyz
'x,y,z'
loop_
_atom_site_label
_atom_site_type_symbol
_atom_site_fract_x
_atom_site_fract_y
_atom_site_fract_z
_atom_site_occupancy
Rb1 Rb 0.0000 0.0000 0.0000 1
Mg1 Mg 0.0063 0.5031 0.0000 1
Mg2 Mg 0.1719 0.3439 0.2611 1
Mg3 Mg 0.1719 0.3439 0.7389 1
Mg4 Mg 0.1719 0.8281 0.2611 1
Mg5 Mg 0.1719 0.8281 0.7389 1
Mg6 Mg 0.4969 0.5031 0.0000 1
Mg7 Mg 0.4969 0.9937 0.0000 1
Mg8 Mg 0.5026 0.0053 0.5000 1
Mg9 Mg 0.5026 0.4974 0.5000 1
Mg10 Mg 0.6561 0.8281 0.2611 1
Mg11 Mg 0.6561 0.8281 0.7389 1
Mg12 Mg 0.6667 0.3333 0.2443 1
Mg13 Mg 0.6667 0.3333 0.7557 1
Mg14 Mg 0.9947 0.4974 0.5000 1
Sb1 Sb 0.0000 0.0000 0.5000 1
```

Principal peaks in the range 10 to 90 degrees two-theta, sorted by position:
2theta	d [Å]	I (rel.)	hkl
15.68	5.652	34	1 0 0
16.31	5.436	12	0 0 2
22.70	3.918	34	1 0 2
31.66	2.826	28	2 0 0
31.99	2.798	13	1 1 2
32.96	2.718	27	0 0 4
35.81	2.507	100	2 0 2
46.35	1.959	19	2 0 4
56.40	1.632	17	2 2 0
60.72	1.525	20	2 0 6
66.89	1.399	19	2 2 4
68.63	1.367	14	4 0 2

Theoretical powder diffractogram of LaGaS3 for copper Kα, from DFT lattice parameters and positions (GGA-PBE).
Kinematic intensities with the Lorentz-polarization factor, no thermal factor.

Atomic structure:
```
data_LaGaS3
_chemical_formula_sum 'La12 Ga12 S36'
_cell_length_a 10.4370
_cell_length_b 10.6139
_cell_length_c 12.9429
_cell_angle_alpha 90.00
_cell_angle_beta 98.84
_cell_angle_gamma 90.00
_space_group_name_H-M_alt 'P 1'
_space_group_IT_number 1
loop_
_space_group_symop_operation_xyz
'x,y,z'
loop_
_atom_site_label
_atom_site_type_symbol
_atom_site_fract_x
_atom_site_fract_y
_atom_site_fract_z
_atom_site_occupancy
La1 La 0.0155 0.0528 0.1751 1
La2 La 0.0155 0.4472 0.6751 1
La3 La 0.3139 0.6440 0.9415 1
La4 La 0.3139 0.8560 0.4415 1
La5 La 0.4428 0.0306 0.1722 1
La6 La 0.4428 0.4694 0.6722 1
La7 La 0.5572 0.5306 0.3278 1
La8 La 0.5572 0.9694 0.8278 1
La9 La 0.6861 0.1440 0.5585 1
La10 La 0.6861 0.3560 0.0585 1
La11 La 0.9845 0.5528 0.3249 1
La12 La 0.9845 0.9472 0.8249 1
Ga1 Ga 0.1867 0.7467 0.6689 1
Ga2 Ga 0.1867 0.7533 0.1689 1
Ga3 Ga 0.2481 0.0814 0.6460 1
Ga4 Ga 0.2481 0.4186 0.1460 1
Ga5 Ga 0.3014 0.2292 0.9236 1
Ga6 Ga 0.3014 0.2708 0.4236 1
Ga7 Ga 0.6986 0.7292 0.5764 1
Ga8 Ga 0.6986 0.7708 0.0764 1
Ga9 Ga 0.7519 0.5814 0.8540 1
Ga10 Ga 0.7519 0.9186 0.3540 1
Ga11 Ga 0.8133 0.2467 0.8311 1
Ga12 Ga 0.8133 0.2533 0.3311 1
S1 S 0.0645 0.6899 0.7943 1
S2 S 0.0645 0.8101 0.2943 1
S3 S 0.1046 0.5763 0.0823 1
S4 S 0.1046 0.9237 0.5823 1
S5 S 0.1682 0.5881 0.5451 1
S6 S 0.1682 0.9119 0.0451 1
S7 S 0.2067 0.2218 0.0762 1
S8 S 0.2067 0.2782 0.5762 1
S9 S 0.2508 0.0490 0.8229 1
S10 S 0.2508 0.4510 0.3229 1
S11 S 0.2526 0.0934 0.3259 1
S12 S 0.2526 0.4066 0.8259 1
S13 S 0.3949 0.7333 0.7506 1
S14 S 0.3949 0.7667 0.2506 1
S15 S 0.4411 0.0137 0.6083 1
S16 S 0.4411 0.4863 0.1084 1
S17 S 0.4939 0.6622 0.5139 1
S18 S 0.4939 0.8378 0.0139 1
S19 S 0.5061 0.1622 0.9861 1
S20 S 0.5061 0.3378 0.4861 1
S21 S 0.5589 0.5137 0.8916 1
S22 S 0.5589 0.9863 0.3916 1
S23 S 0.6051 0.2333 0.7494 1
S24 S 0.6051 0.2667 0.2494 1
S25 S 0.7474 0.5934 0.1741 1
S26 S 0.7474 0.9066 0.6741 1
S27 S 0.7492 0.5490 0.6771 1
S28 S 0.7492 0.9510 0.1771 1
S29 S 0.7933 0.7218 0.4238 1
S30 S 0.7933 0.7782 0.9238 1
S31 S 0.8318 0.0881 0.9549 1
S32 S 0.8318 0.4119 0.4549 1
S33 S 0.8954 0.0763 0.4177 1
S34 S 0.8954 0.4237 0.9177 1
S35 S 0.9355 0.1899 0.7057 1
S36 S 0.9355 0.3101 0.2057 1
```

Principal peaks in the range 10 to 90 degrees two-theta, sorted by position:
2theta	d [Å]	I (rel.)	hkl
21.26	4.179	95	2 1 1
22.48	3.956	56	0 1 3
23.77	3.743	63	2 0 2
24.06	3.698	98	2 2 0
24.30	3.662	100	2 2 -1
26.37	3.380	80	2 1 -3
28.84	3.096	68	0 3 2
29.18	3.061	85	3 1 1
30.77	2.906	67	1 3 2
31.71	2.822	59	2 1 -4
39.29	2.293	61	2 4 1
39.94	2.257	61	3 2 3

Theoretical powder diffractogram of KMnN for copper Kα, from DFT lattice parameters and positions (GGA-PBE).
Kinematic intensities with the Lorentz-polarization factor, no thermal factor.

Atomic structure:
```
data_KMnN
_chemical_formula_sum 'K4 Mn4 N4'
_cell_length_a 10.1259
_cell_length_b 3.6029
_cell_length_c 6.7147
_cell_angle_alpha 90.00
_cell_angle_beta 90.00
_cell_angle_gamma 90.00
_space_group_name_H-M_alt 'P 1'
_space_group_IT_number 1
loop_
_space_group_symop_operation_xyz
'x,y,z'
loop_
_atom_site_label
_atom_site_type_symbol
_atom_site_fract_x
_atom_site_fract_y
_atom_site_fract_z
_atom_site_occupancy
K1 K 0.1789 0.2500 0.0520 1
K2 K 0.3211 0.7500 0.5520 1
K3 K 0.6789 0.2500 0.4480 1
K4 K 0.8211 0.7500 0.9480 1
Mn1 Mn 0.0268 0.2500 0.6061 1
Mn2 Mn 0.4732 0.7500 0.1061 1
Mn3 Mn 0.5268 0.2500 0.8939 1
Mn4 Mn 0.9732 0.7500 0.3939 1
N1 N 0.0412 0.7500 0.6581 1
N2 N 0.4588 0.2500 0.1581 1
N3 N 0.5412 0.7500 0.8419 1
N4 N 0.9588 0.2500 0.3419 1
```

Principal peaks in the range 10 to 90 degrees two-theta, sorted by position:
2theta	d [Å]	I (rel.)	hkl
15.84	5.596	85	1 0 1
17.52	5.063	45	2 0 0
26.55	3.357	16	0 0 2
28.00	3.187	21	1 0 2
29.49	3.029	26	1 1 1
29.62	3.016	100	3 0 1
30.45	2.935	26	2 1 0
33.31	2.690	21	2 1 1
37.68	2.387	42	1 1 2
50.67	1.801	17	0 2 0
51.33	1.780	26	2 1 3
59.80	1.547	22	3 2 1